# 1
Diffraction record for RbBaAuS2. The X-ray powder pattern is theoretical, not measured: it uses a cell relaxed with GGA-PBE and Cu Kα.
Kinematic intensities with the Lorentz-polarization factor, no thermal factor.

Structure:
```
10
Lattice="7.545 0.000 0.000 0.000 5.907 0.000 -0.582 0.000 8.727" Properties=species:S:1:pos:R:3 pbc="T T T"
Rb -0.145 0.248 2.182
Rb -0.436 5.659 6.546
Ba 3.336 2.889 6.546
Ba 3.627 3.018 2.182
Au 3.773 0.000 0.000
Au 3.482 0.000 4.364
S 1.449 1.558 8.664
S 1.740 4.349 4.300
S 5.223 1.558 4.428
S 5.514 4.349 0.064
```

Top 12 peaks for 2θ from 5° to 70°, sorted by position:
| d [Å] | 2theta | Rel. int. |
| --- | --- | --- |
| 7.528 | 11.75 | 100 |
| 5.907 | 15.00 | 19 |
| 3.764 | 23.64 | 41 |
| 3.510 | 25.38 | 32 |
| 3.248 | 27.46 | 79 |
| 3.118 | 28.63 | 71 |
| 2.953 | 30.26 | 22 |
| 2.750 | 32.57 | 18 |
| 2.324 | 38.75 | 40 |
| 2.095 | 43.18 | 24 |
| 1.992 | 45.55 | 20 |
| 1.756 | 52.08 | 22 |


# 2
Diffraction record for Ba14Rh3Au6. The X-ray powder pattern is theoretical, not measured: it uses a cell relaxed with GGA-PBE and Cu Kα.
Kinematic intensities with the Lorentz-polarization factor, no thermal factor.

Structure:
```
23
Lattice="7.921 0.000 0.000 0.007 11.444 0.000 0.097 5.721 10.079" Properties=species:S:1:pos:R:3 pbc="T T T"
Ba 0.000 0.000 0.000
Ba 7.922 4.033 0.001
Ba 0.613 7.736 6.188
Ba 1.465 13.458 8.089
Ba 1.458 4.181 4.426
Ba 1.464 11.287 4.424
Ba 3.810 7.738 9.277
Ba 3.909 5.721 1.348
Ba 3.913 9.759 1.344
Ba 4.502 7.738 5.244
Ba 5.604 2.016 3.308
Ba 5.658 4.236 7.020
Ba 5.662 11.236 7.020
Ba 7.636 7.738 2.186
Rh 2.486 7.745 3.083
Rh 6.550 7.739 8.347
Rh 7.491 13.458 5.716
Au 2.052 2.014 1.947
Au 2.429 5.234 7.599
Au 2.431 10.238 7.597
Au 6.102 13.457 9.491
Au 6.254 10.239 3.795
Au 6.252 5.237 3.795
```

Top 12 peaks for 2θ from 5° to 70°, sorted by position:
| d [Å] | 2theta | Rel. int. |
| --- | --- | --- |
| 4.227 | 21.02 | 50 |
| 3.421 | 26.05 | 47 |
| 3.404 | 26.18 | 45 |
| 3.388 | 26.31 | 54 |
| 3.128 | 28.54 | 41 |
| 3.103 | 28.77 | 84 |
| 3.090 | 28.90 | 65 |
| 3.061 | 29.17 | 92 |
| 2.897 | 30.86 | 100 |
| 2.861 | 31.26 | 55 |
| 2.337 | 38.53 | 50 |
| 2.328 | 38.67 | 55 |


# 3
Diffraction record for Ba8Rh3Au. The X-ray powder pattern is theoretical, not measured: it uses a cell relaxed with GGA-PBE and Cu Kα.
Kinematic intensities with the Lorentz-polarization factor, no thermal factor.

Structure:
```
12
Lattice="7.730 -4.636 0.000 7.730 4.636 0.000 -4.970 0.000 7.524" Properties=species:S:1:pos:R:3 pbc="T T T"
Ba 3.837 2.438 5.635
Ba 2.489 0.000 1.935
Ba 0.232 0.000 5.456
Ba 6.652 2.438 1.889
Ba 3.837 -2.438 5.635
Ba 10.258 0.000 2.068
Ba 8.001 0.000 5.589
Ba 6.652 -2.438 1.889
Rh 0.000 0.000 0.000
Rh 1.380 2.318 3.762
Rh 1.380 -2.318 3.762
Au 7.730 0.000 0.000
```

Top 12 peaks for 2θ from 5° to 70°, sorted by position:
| d [Å] | 2theta | Rel. int. |
| --- | --- | --- |
| 7.257 | 12.20 | 40 |
| 3.944 | 22.54 | 15 |
| 3.763 | 23.64 | 17 |
| 3.229 | 27.63 | 100 |
| 2.458 | 36.56 | 14 |
| 2.316 | 38.89 | 40 |
| 2.252 | 40.04 | 35 |
| 2.206 | 40.91 | 12 |
| 1.882 | 48.37 | 20 |
| 1.615 | 57.01 | 8 |
| 1.461 | 63.69 | 12 |
| 1.429 | 65.31 | 10 |


# 4
Diffraction record for Ba5RhAu. The X-ray powder pattern is theoretical, not measured: it uses a cell relaxed with GGA-PBE and Cu Kα.
Kinematic intensities with the Lorentz-polarization factor, no thermal factor.

Structure:
```
14
Lattice="5.950 -5.119 0.000 5.950 5.119 0.000 -4.336 0.000 11.294" Properties=species:S:1:pos:R:3 pbc="T T T"
Ba 3.161 3.298 4.063
Ba 2.698 2.643 8.470
Ba -0.571 0.345 11.101
Ba 6.571 3.298 1.584
Ba 1.597 -0.345 5.454
Ba 5.967 0.345 5.840
Ba 0.993 -3.298 9.710
Ba 8.135 -0.345 0.193
Ba 4.866 -2.643 2.823
Ba 4.403 -3.298 7.231
Rh 0.807 2.560 5.647
Rh 2.975 -2.560 0.000
Au 4.866 0.679 2.823
Au 2.698 -0.679 8.470
```

Top 12 peaks for 2θ from 5° to 70°, sorted by position:
| d [Å] | 2theta | Rel. int. |
| --- | --- | --- |
| 7.529 | 11.75 | 44 |
| 5.662 | 15.65 | 45 |
| 4.944 | 17.94 | 35 |
| 3.864 | 23.02 | 34 |
| 3.547 | 25.11 | 83 |
| 3.398 | 26.23 | 100 |
| 3.262 | 27.34 | 28 |
| 3.226 | 27.65 | 62 |
| 2.884 | 31.01 | 34 |
| 2.557 | 35.10 | 20 |
| 2.346 | 38.36 | 32 |
| 2.333 | 38.60 | 23 |


# 5
Diffraction record for Ba8RhAu2. The X-ray powder pattern is theoretical, not measured: it uses a cell relaxed with GGA-PBE and Cu Kα.
Kinematic intensities with the Lorentz-polarization factor, no thermal factor.

Structure:
```
11
Lattice="15.562 -2.358 0.000 15.562 2.358 0.000 -2.071 0.000 7.808" Properties=species:S:1:pos:R:3 pbc="T T T"
Ba 0.904 0.000 3.110
Ba 4.153 0.000 6.682
Ba 8.368 0.000 5.033
Ba 13.477 0.000 1.053
Ba 15.576 0.000 6.755
Ba 20.685 0.000 2.775
Ba 24.900 0.000 1.126
Ba 28.149 0.000 4.697
Rh 14.526 0.000 3.904
Au 7.241 0.000 1.972
Au 21.812 0.000 5.836
```

Top 12 peaks for 2θ from 5° to 70°, sorted by position:
| d [Å] | 2theta | Rel. int. |
| --- | --- | --- |
| 15.042 | 5.88 | 37 |
| 7.521 | 11.77 | 46 |
| 3.579 | 24.88 | 100 |
| 3.562 | 25.00 | 45 |
| 2.762 | 32.41 | 49 |
| 2.757 | 32.48 | 18 |
| 2.358 | 38.17 | 19 |
| 2.338 | 38.50 | 35 |
| 2.136 | 42.31 | 28 |
| 2.127 | 42.50 | 13 |
| 1.966 | 46.17 | 17 |
| 1.791 | 50.99 | 15 |


# 6
Diffraction record for Ba6Sr2RhAu. The X-ray powder pattern is theoretical, not measured: it uses a cell relaxed with GGA-PBE and Cu Kα.
Kinematic intensities with the Lorentz-polarization factor, no thermal factor.

Structure:
```
10
Lattice="6.413 -6.415 0.000 6.413 6.415 0.000 -6.403 0.000 6.420" Properties=species:S:1:pos:R:3 pbc="T T T"
Ba 0.000 0.000 0.000
Ba -3.093 0.000 3.102
Ba 3.315 3.315 0.000
Ba 3.315 -3.315 0.000
Ba 6.624 0.000 0.000
Ba 3.320 0.000 3.318
Sr 0.116 3.208 3.210
Sr 0.116 -3.208 3.210
Rh 9.724 0.000 0.000
Au 3.311 0.000 0.000
```

Top 12 peaks for 2θ from 5° to 70°, sorted by position:
| d [Å] | 2theta | Rel. int. |
| --- | --- | --- |
| 6.416 | 13.80 | 49 |
| 4.537 | 19.57 | 14 |
| 3.704 | 24.02 | 52 |
| 3.208 | 27.81 | 100 |
| 2.869 | 31.17 | 28 |
| 2.268 | 39.74 | 76 |
| 2.139 | 42.26 | 15 |
| 1.934 | 46.97 | 24 |
| 1.852 | 49.19 | 27 |
| 1.604 | 57.45 | 13 |
| 1.435 | 64.99 | 26 |
| 1.434 | 65.05 | 9 |


# 7
Diffraction record for BaAuS3. The X-ray powder pattern is theoretical, not measured: it uses a cell relaxed with GGA-PBE and Cu Kα.
Kinematic intensities with the Lorentz-polarization factor, no thermal factor.

Structure:
```
10
Lattice="5.390 0.000 0.000 0.000 6.481 0.000 -2.070 0.000 8.801" Properties=species:S:1:pos:R:3 pbc="T T T"
Ba -0.106 0.000 2.879
Ba 3.427 3.240 5.922
Au 2.333 2.456 0.863
Au 0.987 5.697 7.938
S -0.415 3.225 3.043
S 1.605 2.709 3.152
S 0.746 3.307 7.575
S 2.575 0.067 1.226
S 1.715 5.950 5.649
S 3.736 6.466 5.758
```

Top 12 peaks for 2θ from 5° to 70°, sorted by position:
| d [Å] | 2theta | Rel. int. |
| --- | --- | --- |
| 8.801 | 10.05 | 27 |
| 5.232 | 16.95 | 51 |
| 4.112 | 21.61 | 100 |
| 3.980 | 22.34 | 78 |
| 3.831 | 23.22 | 26 |
| 3.641 | 24.45 | 45 |
| 3.240 | 27.53 | 50 |
| 2.757 | 32.48 | 42 |
| 2.673 | 33.53 | 26 |
| 2.623 | 34.18 | 24 |
| 2.545 | 35.26 | 29 |
| 2.202 | 40.99 | 32 |


# 8
Diffraction record for Ba3ScAu2S6. The X-ray powder pattern is theoretical, not measured: it uses a cell relaxed with GGA-PBE and Cu Kα.
Kinematic intensities with the Lorentz-polarization factor, no thermal factor.

Structure:
```
12
Lattice="7.399 0.000 0.000 -3.699 6.408 0.000 0.000 0.000 7.951" Properties=species:S:1:pos:R:3 pbc="T T T"
Ba 0.000 0.000 0.000
Ba 0.000 4.272 4.948
Ba 3.699 2.136 3.004
Sc 0.000 0.000 3.976
Au 0.000 4.272 1.632
Au 3.699 2.136 6.319
S 0.000 2.005 2.395
S -1.963 5.405 2.395
S 1.737 1.003 5.557
S 1.963 5.405 2.395
S 5.662 1.003 5.557
S 3.699 4.402 5.557
```

Top 12 peaks for 2θ from 5° to 70°, sorted by position:
| d [Å] | 2theta | Rel. int. |
| --- | --- | --- |
| 4.989 | 17.78 | 41 |
| 3.699 | 24.06 | 100 |
| 3.378 | 26.38 | 63 |
| 2.495 | 36.00 | 52 |
| 2.449 | 36.69 | 25 |
| 2.317 | 38.87 | 14 |
| 2.136 | 42.32 | 23 |
| 2.068 | 43.77 | 35 |
| 1.850 | 49.26 | 25 |
| 1.788 | 51.09 | 19 |
| 1.622 | 56.74 | 16 |
| 1.461 | 63.70 | 13 |


Please write out number 2 again, unchanged.
Diffraction record for Ba14Rh3Au6. The X-ray powder pattern is theoretical, not measured: it uses a cell relaxed with GGA-PBE and Cu Kα.
Kinematic intensities with the Lorentz-polarization factor, no thermal factor.

Structure:
```
23
Lattice="7.921 0.000 0.000 0.007 11.444 0.000 0.097 5.721 10.079" Properties=species:S:1:pos:R:3 pbc="T T T"
Ba 0.000 0.000 0.000
Ba 7.922 4.033 0.001
Ba 0.613 7.736 6.188
Ba 1.465 13.458 8.089
Ba 1.458 4.181 4.426
Ba 1.464 11.287 4.424
Ba 3.810 7.738 9.277
Ba 3.909 5.721 1.348
Ba 3.913 9.759 1.344
Ba 4.502 7.738 5.244
Ba 5.604 2.016 3.308
Ba 5.658 4.236 7.020
Ba 5.662 11.236 7.020
Ba 7.636 7.738 2.186
Rh 2.486 7.745 3.083
Rh 6.550 7.739 8.347
Rh 7.491 13.458 5.716
Au 2.052 2.014 1.947
Au 2.429 5.234 7.599
Au 2.431 10.238 7.597
Au 6.102 13.457 9.491
Au 6.254 10.239 3.795
Au 6.252 5.237 3.795
```

Top 12 peaks for 2θ from 5° to 70°, sorted by position:
| d [Å] | 2theta | Rel. int. |
| --- | --- | --- |
| 4.227 | 21.02 | 50 |
| 3.421 | 26.05 | 47 |
| 3.404 | 26.18 | 45 |
| 3.388 | 26.31 | 54 |
| 3.128 | 28.54 | 41 |
| 3.103 | 28.77 | 84 |
| 3.090 | 28.90 | 65 |
| 3.061 | 29.17 | 92 |
| 2.897 | 30.86 | 100 |
| 2.861 | 31.26 | 55 |
| 2.337 | 38.53 | 50 |
| 2.328 | 38.67 | 55 |